For K2Mn, a cell relaxed with GGA-PBE gives the computed XRD peak list in this record (Cu Kα (weighted mean of Kα1 and Kα2)).

Main lines, by intensity (10 to 80 degrees two-theta):
2θ (°), I (rel.), hkl
26.71, 100.0, 3 1 1
12.50, 75.2, 1 1 0
31.23, 60.4, 4 2 0
10.49, 50.1, 2 0 0
39.61, 42.1, 1 3 1
19.46, 40.1, 3 1 0

Cell and atoms:
```
data_K2Mn
_cell_length_a 16.865
_cell_length_b 7.799
_cell_length_c 4.898
_cell_angle_alpha 90.00
_cell_angle_beta 90.00
_cell_angle_gamma 90.00
_space_group_name_H-M_alt 'C m c m'
_space_group_IT_number 63
_space_group_name_Hall '-C 2c 2'
loop_
_atom_site_label
_atom_site_type_symbol
_atom_site_fract_x
_atom_site_fract_y
_atom_site_fract_z
K1 K 0.137 0.237 0.250
Mn1 Mn 0.000 0.429 0.750
```

***

For Ti5Tc6Sb, a cell relaxed with GGA-PBE gives the computed XRD peak list in this record (Cu Kα (weighted mean of Kα1 and Kα2)).

Main lines, by intensity (10 to 80 degrees two-theta):
2θ (°), I (rel.), hkl
40.73, 100.0, 2 0 0
40.90, 19.7, 0 0 6
59.15, 12.7, 2 0 6
74.23, 12.6, 3 2 3
74.01, 12.5, 2 4 0
74.35, 12.4, 1 2 9

Cell and atoms:
```
data_Ti5Tc6Sb
_cell_length_a 4.423
_cell_length_b 6.289
_cell_length_c 13.239
_cell_angle_alpha 90.00
_cell_angle_beta 90.00
_cell_angle_gamma 90.00
_space_group_name_H-M_alt 'I m m m'
_space_group_IT_number 71
_space_group_name_Hall '-I 2 2'
loop_
_atom_site_label
_atom_site_type_symbol
_atom_site_fract_x
_atom_site_fract_y
_atom_site_fract_z
Ti1 Ti 0.000 0.000 0.000
Ti2 Ti 0.000 0.000 0.336
Ti3 Ti 0.000 0.500 0.332
Tc1 Tc 0.000 0.246 0.169
Tc2 Tc 0.000 0.260 0.500
Sb1 Sb 0.000 0.500 0.000
```

***

For Mg3GeCl8, a cell relaxed with GGA-PBE gives the computed XRD peak list in this record (Cu Kα (weighted mean of Kα1 and Kα2)).

Main lines, by intensity (10 to 80 degrees two-theta):
2θ (°), I (rel.), hkl
13.50, 100.0, 0 0 1
32.90, 76.3, 2 2 -2
33.34, 37.8, 4 0 0
48.56, 36.0, 0 4 0
46.52, 22.0, 2 2 2
42.32, 19.4, 2 2 -3

Cell and atoms:
```
data_Mg3GeCl8
_cell_length_a 12.991
_cell_length_b 7.500
_cell_length_c 7.928
_cell_angle_alpha 90.00
_cell_angle_beta 124.16
_cell_angle_gamma 90.00
_space_group_name_H-M_alt 'C 1 2/m 1'
_space_group_IT_number 12
loop_
_space_group_symop_operation_xyz
'x,y,z'
'-x,-y,-z'
'-x,y,-z'
'x,-y,z'
'x+1/2,y+1/2,z'
'-x+1/2,-y+1/2,-z'
'-x+1/2,y+1/2,-z'
'x+1/2,-y+1/2,z'
loop_
_atom_site_label
_atom_site_type_symbol
_atom_site_fract_x
_atom_site_fract_y
_atom_site_fract_z
Mg1 Mg 0.000 0.000 0.000
Mg2 Mg 0.250 0.250 0.000
Ge1 Ge 0.000 0.500 0.000
Cl1 Cl 0.015 0.237 0.787
Cl2 Cl 0.238 0.000 0.208
Cl3 Cl 0.248 0.500 0.213
```

***

For NiPS4, a cell relaxed with GGA-PBE gives the computed XRD peak list in this record (Cu Kα (weighted mean of Kα1 and Kα2)).

Main lines, by intensity (10 to 80 degrees two-theta):
2θ (°), I (rel.), hkl
19.10, 100.0, 1 0 1
32.15, 74.5, 1 1 2
35.79, 29.3, 1 2 1
42.90, 25.3, 2 2 0
54.61, 22.2, 1 3 2
58.65, 18.8, 2 0 4

Cell and atoms:
```
data_NiPS4
_cell_length_a 5.962
_cell_length_b 5.962
_cell_length_c 7.413
_cell_angle_alpha 90.00
_cell_angle_beta 90.00
_cell_angle_gamma 90.00
_space_group_name_H-M_alt 'I -4'
_space_group_IT_number 82
loop_
_space_group_symop_operation_xyz
'x,y,z'
'y,-x,-z'
'-x,-y,z'
'-y,x,-z'
'x+1/2,y+1/2,z+1/2'
'y+1/2,-x+1/2,-z+1/2'
'-x+1/2,-y+1/2,z+1/2'
'-y+1/2,x+1/2,-z+1/2'
loop_
_atom_site_label
_atom_site_type_symbol
_atom_site_fract_x
_atom_site_fract_y
_atom_site_fract_z
Ni1 Ni 0.000 0.000 0.000
P1 P 0.000 0.500 0.750
S1 S 0.198 0.281 0.896
```